(1)
# Ba2US5
Theoretical powder diffractogram, Cu Ka. Input: a cell relaxed with GGA-PBE.

Cell and atoms:
```
Ba2US5
1.0
12.462 0.000 0.000
0.000 8.651 0.000
0.000 0.000 7.854
Ba U S
8 4 20
Direct
0.168 0.007 0.076
0.168 0.493 0.076
0.332 0.507 0.576
0.332 0.993 0.576
0.668 0.007 0.424
0.668 0.493 0.424
0.832 0.507 0.924
0.832 0.993 0.924
0.004 0.250 0.554
0.496 0.750 0.054
0.504 0.250 0.946
0.996 0.750 0.446
0.014 0.250 0.898
0.063 0.541 0.669
0.063 0.959 0.669
0.186 0.250 0.395
0.194 0.750 0.365
0.306 0.250 0.865
0.314 0.750 0.895
0.437 0.041 0.169
0.437 0.459 0.169
0.486 0.750 0.398
0.514 0.250 0.602
0.563 0.541 0.831
0.563 0.959 0.831
0.686 0.250 0.105
0.694 0.750 0.135
0.806 0.250 0.635
0.814 0.750 0.605
0.937 0.041 0.331
0.937 0.459 0.331
0.986 0.750 0.102
```

Top 6 peaks for 2θ from 10° to 90°, in order of rising 2θ:
2θ/deg  I/Imax
24.2  91
24.6  100
25.1  51
31.6  45
34.0  41
43.5  36

(2)
# Ba2US6
Theoretical powder diffractogram, Cu Ka. Input: a cell relaxed with GGA-PBE.

Cell and atoms:
```
Ba2US6
1.0
5.466 0.000 0.000
0.000 5.466 0.000
0.000 0.000 15.935
Ba U S
4 2 12
Direct
0.250 0.750 0.116
0.250 0.750 0.384
0.750 0.250 0.616
0.750 0.250 0.884
0.250 0.750 0.750
0.750 0.250 0.250
0.059 0.750 0.586
0.250 0.250 0.230
0.250 0.250 0.730
0.250 0.559 0.914
0.250 0.941 0.914
0.441 0.750 0.586
0.559 0.250 0.414
0.750 0.059 0.086
0.750 0.441 0.086
0.750 0.750 0.270
0.750 0.750 0.770
0.941 0.250 0.414
```

Top 6 peaks for 2θ from 10° to 90°, in order of rising 2θ:
2θ/deg  I/Imax
11.1  44
23.0  97
23.4  100
32.5  58
32.8  60
40.6  87

(3)
# BaU2S7
Theoretical powder diffractogram, Cu Ka. Input: a cell relaxed with GGA-PBE.

Cell and atoms:
```
BaU2S7
1.0
4.045 -6.346 0.000
4.045 6.346 0.000
0.000 0.000 5.118
Ba U S
1 2 7
Direct
0.000 0.000 0.000
0.298 0.702 0.500
0.702 0.298 0.500
0.063 0.320 0.500
0.288 0.712 0.000
0.320 0.063 0.500
0.500 0.500 0.500
0.680 0.937 0.500
0.712 0.288 0.000
0.937 0.680 0.500
```

Top 6 peaks for 2θ from 10° to 90°, in order of rising 2θ:
2θ/deg  I/Imax
17.3  90
22.0  97
22.3  92
23.7  100
31.5  77
41.2  78

(4)
# Ba2U2S7
Theoretical powder diffractogram, Cu Ka. Input: a cell relaxed with GGA-PBE.

Cell and atoms:
```
Ba2U2S7
1.0
4.303 -4.982 0.000
4.303 4.982 0.000
0.000 0.000 7.047
Ba U S
2 2 7
Direct
0.238 0.238 0.000
0.762 0.762 0.000
0.276 0.724 0.500
0.724 0.276 0.500
0.000 0.000 0.500
0.000 0.500 0.270
0.000 0.500 0.730
0.500 0.000 0.270
0.500 0.000 0.730
0.500 0.500 0.282
0.500 0.500 0.718
```

Top 6 peaks for 2θ from 10° to 90°, in order of rising 2θ:
2θ/deg  I/Imax
21.8  100
24.2  99
27.4  26
37.6  82
43.9  56
47.8  28

(5)
# Ba2YUS6
Theoretical powder diffractogram, Cu Ka. Input: a cell relaxed with GGA-PBE.

Cell and atoms:
```
Ba2YUS6
1.0
7.223 0.000 0.000
0.000 7.468 0.000
-7.217 0.000 10.354
Ba Y U S
4 2 2 12
Direct
0.235 0.059 0.250
0.235 0.441 0.750
0.765 0.559 0.250
0.765 0.941 0.750
0.500 0.000 0.000
0.500 0.500 0.500
0.000 0.000 0.500
0.000 0.500 0.000
0.155 0.211 0.956
0.155 0.289 0.456
0.248 0.701 0.958
0.248 0.799 0.458
0.327 0.018 0.745
0.327 0.482 0.245
0.673 0.518 0.755
0.673 0.982 0.255
0.752 0.201 0.542
0.752 0.299 0.042
0.845 0.711 0.544
0.845 0.789 0.044
```

Top 6 peaks for 2θ from 10° to 90°, in order of rising 2θ:
2θ/deg  I/Imax
23.8  23
24.3  100
24.6  24
34.6  34
34.7  21
43.2  30

(6)
# Ba2UZnS6
Theoretical powder diffractogram, Cu Ka. Input: a cell relaxed with GGA-PBE.

Cell and atoms:
```
Ba2UZnS6
1.0
7.083 0.000 0.000
0.000 7.122 0.000
-7.044 0.000 10.023
Ba U Zn S
4 2 2 12
Direct
0.239 0.041 0.248
0.239 0.459 0.748
0.761 0.541 0.252
0.761 0.959 0.752
0.500 0.000 0.000
0.500 0.500 0.500
0.000 0.000 0.500
0.000 0.500 0.000
0.186 0.216 0.969
0.186 0.284 0.469
0.256 0.715 0.971
0.256 0.785 0.471
0.306 0.003 0.749
0.306 0.497 0.249
0.694 0.503 0.751
0.694 0.997 0.251
0.744 0.215 0.529
0.744 0.285 0.029
0.814 0.716 0.531
0.814 0.784 0.031
```

Top 6 peaks for 2θ from 10° to 90°, in order of rising 2θ:
2θ/deg  I/Imax
15.3  41
25.0  98
25.1  100
35.8  84
44.2  43
44.3  27

Please write out number 1 again, unchanged.
# Ba2US5
Theoretical powder diffractogram, Cu Ka. Input: a cell relaxed with GGA-PBE.

Cell and atoms:
```
Ba2US5
1.0
12.462 0.000 0.000
0.000 8.651 0.000
0.000 0.000 7.854
Ba U S
8 4 20
Direct
0.168 0.007 0.076
0.168 0.493 0.076
0.332 0.507 0.576
0.332 0.993 0.576
0.668 0.007 0.424
0.668 0.493 0.424
0.832 0.507 0.924
0.832 0.993 0.924
0.004 0.250 0.554
0.496 0.750 0.054
0.504 0.250 0.946
0.996 0.750 0.446
0.014 0.250 0.898
0.063 0.541 0.669
0.063 0.959 0.669
0.186 0.250 0.395
0.194 0.750 0.365
0.306 0.250 0.865
0.314 0.750 0.895
0.437 0.041 0.169
0.437 0.459 0.169
0.486 0.750 0.398
0.514 0.250 0.602
0.563 0.541 0.831
0.563 0.959 0.831
0.686 0.250 0.105
0.694 0.750 0.135
0.806 0.250 0.635
0.814 0.750 0.605
0.937 0.041 0.331
0.937 0.459 0.331
0.986 0.750 0.102
```

Top 6 peaks for 2θ from 10° to 90°, in order of rising 2θ:
2θ/deg  I/Imax
24.2  91
24.6  100
25.1  51
31.6  45
34.0  41
43.5  36